Diffraction record for NaCaLaWO6. The XRD peak list is simulated, not measured: it uses DFT lattice parameters and positions (PBE+U) and Cu Kα (weighted mean of Kα1 and Kα2).
Kinematic intensities with the Lorentz-polarization factor, no thermal factor.

Largest 10 diffraction maxima, in order of falling intensity, 2θ = 10–90°:
2θ (°)  intensity
30.48  100
18.53  62
54.18  40
43.65  34
35.91  32
88.14  21
63.44  20
72.01  18
47.80  13
57.76  13

Structural model:
```
NaCaLaWO6
1.0
0.0000 4.1470 4.1470
4.1470 0.0000 4.1470
4.1470 4.1470 0.0000
Na Ca La W O
1 1 1 1 6
Direct
0.0000 0.0000 0.0000
0.2500 0.2500 0.2500
0.5000 0.5000 0.5000
0.7500 0.7500 0.7500
0.5166 0.5166 0.9834
0.5166 0.9834 0.5166
0.5166 0.9834 0.9834
0.9834 0.5166 0.5166
0.9834 0.5166 0.9834
0.9834 0.9834 0.5166
```

---

Diffraction record for Y3VH3O8. The XRD peak list is simulated, not measured: it uses DFT lattice parameters and positions (PBE+U) and Cu Kα (weighted mean of Kα1 and Kα2).
Kinematic intensities with the Lorentz-polarization factor, no thermal factor.

Largest 10 diffraction maxima, in order of falling intensity, 2θ = 10–90°:
2θ (°)  intensity
30.62  100
25.85  71
32.28  48
53.70  34
18.46  31
15.33  29
50.51  28
29.99  28
34.39  27
31.07  27

Structural model:
```
Y3VH3O8
1.0
5.6095 0.0000 0.0000
0.0000 10.4307 0.0000
-1.5544 0.0000 5.7785
Y V H O
6 2 6 16
Direct
0.1850 0.0402 0.3056
0.1850 0.4598 0.3056
0.2672 0.2500 0.7987
0.7328 0.7500 0.2013
0.8150 0.5402 0.6944
0.8150 0.9598 0.6944
0.3151 0.7500 0.5377
0.6849 0.2500 0.4623
0.1153 0.7500 0.9086
0.3446 0.5376 0.9023
0.3446 0.9624 0.9023
0.6554 0.0376 0.0977
0.6554 0.4624 0.0977
0.8847 0.2500 0.0914
0.0431 0.6297 0.4600
0.0431 0.8703 0.4600
0.0641 0.2500 0.1088
0.2274 0.0234 0.9368
0.2274 0.4766 0.9368
0.4344 0.7500 0.8365
0.4994 0.6243 0.4013
0.4994 0.8757 0.4013
0.5006 0.1243 0.5987
0.5006 0.3757 0.5987
0.5656 0.2500 0.1635
0.7726 0.5234 0.0632
0.7726 0.9766 0.0632
0.9359 0.7500 0.8912
0.9569 0.1297 0.5400
0.9569 0.3703 0.5400
```

---

Diffraction record for Li4FeSi3O9. The XRD peak list is simulated, not measured: it uses DFT lattice parameters and positions (PBE+U) and Cu Kα (weighted mean of Kα1 and Kα2).
Kinematic intensities with the Lorentz-polarization factor, no thermal factor.

Largest 10 diffraction maxima, in order of falling intensity, 2θ = 10–90°:
2θ (°)  intensity
17.48  100
34.32  82
23.24  77
22.74  41
16.98  33
14.71  32
35.03  21
37.11  21
35.59  19
30.14  18

Structural model:
```
Li4FeSi3O9
1.0
3.7433 -5.0748 0.0000
3.7433 5.0748 0.0000
-0.2730 0.0000 10.0902
Li Fe Si O
8 2 6 18
Direct
0.0000 0.0000 0.0000
0.1767 0.3782 0.7090
0.3664 0.6336 0.5000
0.4370 0.5630 0.0000
0.5312 0.1978 0.2883
0.6218 0.8233 0.2910
0.8022 0.4688 0.7117
0.9911 0.0089 0.5000
0.1600 0.8246 0.7508
0.1754 0.8400 0.2492
0.1080 0.3468 0.2474
0.4816 0.1384 0.5517
0.5121 0.0828 0.9956
0.6532 0.8920 0.7526
0.8616 0.5184 0.4483
0.9172 0.4879 0.0044
0.0146 0.4971 0.8566
0.0341 0.3151 0.0861
0.0414 0.5112 0.5624
0.1978 0.1490 0.2966
0.2445 0.1226 0.6160
0.2825 0.0413 0.9133
0.3017 0.5802 0.2720
0.4198 0.6983 0.7280
0.4888 0.9586 0.4376
0.5029 0.9854 0.1434
0.5982 0.4018 0.5000
0.6374 0.3626 0.0000
0.6599 0.1274 0.6762
0.6849 0.9659 0.9139
0.8510 0.8022 0.7034
0.8726 0.3401 0.3238
0.8774 0.7555 0.3840
0.9587 0.7175 0.0867
```

---

Diffraction record for CrO. The XRD peak list is simulated, not measured: it uses DFT lattice parameters and positions (PBE+U) and Cu Kα (weighted mean of Kα1 and Kα2).
Kinematic intensities with the Lorentz-polarization factor, no thermal factor.

Largest 10 diffraction maxima, in order of falling intensity, 2θ = 10–90°:
2θ (°)  intensity
33.74  100
34.33  100
50.18  49
59.75  30
32.68  26
61.76  24
36.99  19
58.62  18
29.74  15
58.15  15

Structural model:
```
CrO
1.0
1.9111 -2.4304 0.0000
1.9111 2.4304 0.0000
-0.1406 0.0000 5.4797
Cr O
2 2
Direct
0.0000 0.5000 0.0000
0.5000 0.0000 0.5000
0.0063 0.9937 0.7500
0.9937 0.0063 0.2500
```